# 1
This entry pairs a crystal structure of BaFe3I9 with its theoretical XRD peak list. Radiation: a wavelength of 1.5418 Å. Structure: a GGA-PBE-relaxed structure.

Largest 10 diffraction maxima, by angle, 2θ = 10–90°:
- 2θ = 15.0°, rel. 587, hkl 1 1 1
- 2θ = 15.7°, rel. 532, hkl 3 1 -2
- 2θ = 22.9°, rel. 481, hkl 5 1 -2
- 2θ = 23.1°, rel. 594, hkl 0 2 2
- 2θ = 24.7°, rel. 1000, hkl 2 2 -3
- 2θ = 24.9°, rel. 829, hkl 2 0 2
- 2θ = 25.2°, rel. 558, hkl 3 1 -4
- 2θ = 25.3°, rel. 426, hkl 2 0 -4
- 2θ = 28.3°, rel. 563, hkl 1 3 -2
- 2θ = 28.6°, rel. 418, hkl 3 3 -1

Atomic structure:
a = 21.1676 Å, b = 10.5726 Å, c = 15.2821 Å
α = 90.00°, β = 132.34°, γ = 90.00°
Space group Cc (No. 9)
One atom of each set of equivalent atoms:
Ba (0.0000, 0.2273, 0.0000)
Fe (0.1677, 0.1095, 0.8534)
Fe (0.2478, 0.4013, 0.7284)
Fe (0.3667, 0.0875, 0.6896)
I (0.0401, 0.0773, 0.8381)
I (0.1416, 0.3317, 0.7545)
I (0.1777, 0.0706, 0.2503)
I (0.1897, 0.3913, 0.1091)
I (0.2335, 0.2344, 0.5853)
I (0.3188, 0.1273, 0.0701)
I (0.3982, 0.4319, 0.9330)
I (0.4253, 0.0317, 0.8972)
I (0.4854, 0.1897, 0.7072)

***

# 2
This entry pairs a crystal structure of BaLiFeI2 with its theoretical XRD peak list. Radiation: a wavelength of 1.5418 Å. Structure: a GGA-PBE-relaxed structure.

Largest 10 diffraction maxima, by angle, 2θ = 10–90°:
- 2θ = 10.7°, rel. 1000, hkl 0 0 1
- 2θ = 17.3°, rel. 478, hkl 1 0 1
- 2θ = 21.4°, rel. 419, hkl 0 0 2
- 2θ = 22.0°, rel. 270, hkl 1 1 1
- 2θ = 27.3°, rel. 458, hkl 2 0 0
- 2θ = 29.4°, rel. 381, hkl 2 0 1
- 2θ = 32.5°, rel. 201, hkl 2 1 1
- 2θ = 34.9°, rel. 474, hkl 2 0 2
- 2θ = 42.8°, rel. 181, hkl 2 0 3
- 2θ = 44.9°, rel. 231, hkl 2 2 2

Atomic structure:
a = 6.5412 Å, b = 6.5412 Å, c = 8.3029 Å
α = 90.00°, β = 90.00°, γ = 90.00°
Space group P4/mmm (No. 123)
One atom of each set of equivalent atoms:
Ba (0.0000, 0.0000, 0.0000)
Li (0.0000, 0.0000, 0.5000)
Fe (0.5000, 0.5000, 0.5000)
I (0.0000, 0.5000, 0.0000)

***

Question: What is the formula in the first record?
Answer: BaFe3I9

***

Question: What is the formula in the first record?
Answer: BaFe3I9